Record 1
Starting from a cell relaxed with PBE, the X-ray diffraction stick pattern of Fe5Os4 was simulated for Cu Kα X-rays.
Lines closer than 0.1° are merged.

Atomic structure:
```
Fe5Os4
1.0
-3.8846 3.8846 1.8780
3.8846 -3.8846 1.8780
3.8846 3.8846 -1.8780
Fe Os
5 4
direct
0.0000 0.0000 0.0000 Fe
0.3375 0.3375 0.6751 Fe
0.3375 0.6625 0.0000 Fe
0.6625 0.3375 0.0000 Fe
0.6625 0.6625 0.3249 Fe
0.0000 0.3267 0.3267 Os
0.0000 0.6733 0.6733 Os
0.3267 0.0000 0.3267 Os
0.6733 0.0000 0.6733 Os
```

Most intense lines, 10° ≤ 2θ ≤ 90°, low angle first:
16.13°, intensity 24
32.60°, intensity 10
35.19°, intensity 23
42.40°, intensity 100
48.47°, intensity 17
49.79°, intensity 31
72.03°, intensity 20
73.08°, intensity 10
86.30°, intensity 13
88.30°, intensity 24

Record 2
Starting from a cell relaxed with PBE, the X-ray diffraction stick pattern of Fe3Os5 was simulated for Cu Kα X-rays.
Lines closer than 0.1° are merged.

Atomic structure:
```
Fe3Os5
1.0
7.3809 0.0000 0.0000
0.0000 7.5510 0.0000
0.0000 0.0000 3.7871
Fe Os
6 10
direct
0.0000 0.0000 0.0000 Fe
0.0000 0.2518 0.5000 Fe
0.0000 0.7482 0.5000 Fe
0.5000 0.2482 0.5000 Fe
0.5000 0.5000 0.0000 Fe
0.5000 0.7518 0.5000 Fe
0.0000 0.5000 0.0000 Os
0.2415 0.0000 0.5000 Os
0.2500 0.2500 0.0000 Os
0.2500 0.7500 0.0000 Os
0.2585 0.5000 0.5000 Os
0.5000 0.0000 0.0000 Os
0.7415 0.5000 0.5000 Os
0.7500 0.2500 0.0000 Os
0.7500 0.7500 0.0000 Os
0.7585 0.0000 0.5000 Os
```

Most intense lines, 10° ≤ 2θ ≤ 90°, low angle first:
24.12°, intensity 12
33.52°, intensity 11
41.72°, intensity 100
48.05°, intensity 17
48.21°, intensity 17
49.39°, intensity 15
70.43°, intensity 11
85.21°, intensity 13
85.45°, intensity 13
87.23°, intensity 12

Record 3
Starting from a cell relaxed with PBE, the X-ray diffraction stick pattern of PaFeSi2Os2 was simulated for Cu Kα X-rays.
Lines closer than 0.1° are merged.

Atomic structure:
```
PaFeSi2Os2
1.0
3.7509 0.0000 0.0000
0.0000 3.7509 0.0000
0.0000 0.0000 15.0974
Pa Fe Si Os
2 2 4 4
direct
0.0000 0.0000 0.0000 Pa
0.5000 0.5000 0.5000 Pa
0.0000 0.0000 0.5000 Fe
0.5000 0.5000 0.0000 Fe
0.0000 0.0000 0.3524 Si
0.0000 0.0000 0.6476 Si
0.5000 0.5000 0.1476 Si
0.5000 0.5000 0.8524 Si
0.0000 0.5000 0.2500 Os
0.0000 0.5000 0.7500 Os
0.5000 0.0000 0.2500 Os
0.5000 0.0000 0.7500 Os
```

Most intense lines, 10° ≤ 2θ ≤ 90°, low angle first:
23.57°, intensity 65
29.71°, intensity 19
35.89°, intensity 100
48.22°, intensity 12
48.54°, intensity 27
49.96°, intensity 47
54.65°, intensity 27
70.83°, intensity 16
71.97°, intensity 12
82.28°, intensity 19

Record 4
Starting from a cell relaxed with PBE, the X-ray diffraction stick pattern of Fe2OsPt was simulated for Cu Kα X-rays.
Lines closer than 0.1° are merged.

Atomic structure:
```
Fe2OsPt
1.0
3.8060 0.0000 0.0000
0.0000 3.8060 0.0000
0.0000 0.0000 7.2911
Fe Os Pt
4 2 2
direct
0.0000 0.5000 0.2500 Fe
0.0000 0.5000 0.7500 Fe
0.5000 0.0000 0.2500 Fe
0.5000 0.0000 0.7500 Fe
0.0000 0.0000 0.0000 Os
0.5000 0.5000 0.5000 Os
0.0000 0.0000 0.5000 Pt
0.5000 0.5000 0.0000 Pt
```

Most intense lines, 10° ≤ 2θ ≤ 90°, low angle first:
24.42°, intensity 27
33.29°, intensity 25
41.72°, intensity 100
47.80°, intensity 34
50.04°, intensity 15
54.39°, intensity 13
69.91°, intensity 11
71.70°, intensity 20
84.84°, intensity 26
88.23°, intensity 12

Record 5
Starting from a cell relaxed with PBE, the X-ray diffraction stick pattern of Fe2ReOs was simulated for Cu Kα X-rays.
Lines closer than 0.1° are merged.

Atomic structure:
```
Fe2ReOs
1.0
8.6433 0.0000 0.0000
0.0000 2.6456 0.0000
-0.7597 0.0000 4.4706
Fe Re Os
4 2 2
direct
0.0000 0.0000 0.0000 Fe
0.2496 0.0000 0.7608 Fe
0.5000 0.5000 0.0000 Fe
0.7496 0.5000 0.7608 Fe
0.2470 0.5000 0.2427 Re
0.7470 0.0000 0.2427 Re
0.0034 0.5000 0.5276 Os
0.5034 0.0000 0.5276 Os
```

Most intense lines, 10° ≤ 2θ ≤ 90°, low angle first:
19.86°, intensity 29
26.37°, intensity 28
31.34°, intensity 22
35.53°, intensity 23
41.94°, intensity 100
42.42°, intensity 97
49.10°, intensity 94
71.97°, intensity 38
86.62°, intensity 25
87.59°, intensity 26

Record 6
Starting from a cell relaxed with PBE, the X-ray diffraction stick pattern of Sc6Fe2Os was simulated for Cu Kα X-rays.
Lines closer than 0.1° are merged.

Atomic structure:
```
Sc6Fe2Os
1.0
-4.3213 4.4177 4.4745
4.3213 -4.4177 4.4745
4.3213 4.4177 -4.4745
Sc Fe Os
12 4 2
direct
0.0311 0.2082 0.8229 Sc
0.2588 0.5809 0.3221 Sc
0.2588 0.9366 0.6779 Sc
0.2606 0.3065 0.5672 Sc
0.2606 0.6935 0.9541 Sc
0.3853 0.2082 0.1771 Sc
0.6147 0.7918 0.8229 Sc
0.7394 0.3065 0.0459 Sc
0.7394 0.6935 0.4328 Sc
0.7412 0.0634 0.3221 Sc
0.7412 0.4191 0.6779 Sc
0.9689 0.7918 0.1771 Sc
0.0000 0.1321 0.1321 Fe
0.0000 0.8679 0.8679 Fe
0.3803 0.0000 0.3803 Fe
0.6197 0.0000 0.6197 Fe
0.0000 0.5000 0.5000 Os
0.5000 0.5000 0.0000 Os
```

Most intense lines, 10° ≤ 2θ ≤ 90°, low angle first:
14.25°, intensity 27
19.84°, intensity 43
20.10°, intensity 31
20.55°, intensity 33
24.72°, intensity 29
35.31°, intensity 100
38.03°, intensity 26
38.54°, intensity 29
38.64°, intensity 66
40.31°, intensity 38